Record 1
Starting from a DFT-relaxed cell (PBE, Alexandria), the powder diffractogram of PmMg2Ge2Pd was computed for CuKα.
Neutral-atom scattering factors, no anomalous dispersion.

Structural model:
Unit cell a=5.1899 b=5.1899 c=10.8524 alpha=90.00 beta=90.00 gamma=90.00
Space group I4/mmm (No. 139)
Inequivalent atoms, fractional coordinates:
Pm (0.0000, 0.0000, 0.0000)
Mg (0.0000, 0.5000, 0.2500)
Ge (0.0000, 0.0000, 0.2821)
Pd (0.0000, 0.0000, 0.5000)

Main lines, by intensity (2θ = 10–90°):
- (1 1 0), 2θ = 24.25°, d 3.670, I = 100
- (2 0 0), 2θ = 34.57°, d 2.595, I = 67
- (2 0 4), 2θ = 48.55°, d 1.875, I = 41
- (1 1 4), 2θ = 41.39°, d 2.182, I = 37
- (0 0 4), 2θ = 33.02°, d 2.713, I = 30
- (1 1 2), 2θ = 29.38°, d 3.040, I = 28

---

Record 2
Starting from a DFT-relaxed cell (PBE, Alexandria), the powder diffractogram of Yb4Cu2Sn5 was computed for CuKα.
Neutral-atom scattering factors, no anomalous dispersion.

Structural model:
Unit cell a=4.4928 b=14.0542 c=8.7941 alpha=90.00 beta=90.00 gamma=90.00
Space group Pmmn (No. 59, origin choice 2)
Inequivalent atoms, fractional coordinates:
Yb (0.2500, 0.0071, 0.2079)
Yb (0.2500, 0.7500, 0.2978)
Yb (0.2500, 0.7500, 0.8655)
Cu (0.2500, 0.1050, 0.6185)
Sn (0.2500, 0.1442, 0.9167)
Sn (0.2500, 0.2500, 0.4034)
Sn (0.2500, 0.5880, 0.5585)

Main lines, by intensity (2θ = 10–90°):
- (1 2 2), 2θ = 31.18°, d 2.869, I = 100
- (1 4 1), 2θ = 33.96°, d 2.640, I = 70
- (2 0 0), 2θ = 40.14°, d 2.247, I = 53
- (1 0 3), 2θ = 36.60°, d 2.455, I = 51
- (1 3 1), 2θ = 29.36°, d 3.042, I = 35
- (0 4 2), 2θ = 32.62°, d 2.745, I = 35